1.
GaNiI6: computed XRD peak list (Cu Kα), based on a PBE-relaxed structure.
Kinematic intensities with the Lorentz-polarization factor, no thermal factor.

Most intense lines, 2θ = 10–90°, in order of falling intensity:
d/Å	2θ (°)	I (rel.)
3.087	28.92	100
2.328	38.68	29
2.062	43.91	27
1.776	51.46	19
5.135	17.27	17
3.070	29.08	15
1.712	53.52	14
1.715	53.43	13

Cell and atoms:
Unit cell a=7.138 b=7.141 c=7.389 alpha=61.20 beta=61.23 gamma=60.08
Fractional coordinates of all 8 atoms:
Ga 0.000 0.000 0.000
Ni 0.500 0.500 0.500
I 0.113 0.739 0.744
I 0.262 0.595 0.256
I 0.404 0.113 0.744
I 0.596 0.887 0.256
I 0.738 0.405 0.744
I 0.887 0.261 0.256

---

2.
Pm6GaNi2I3: computed XRD peak list (Cu Kα), based on a PBE-relaxed structure.
Kinematic intensities with the Lorentz-polarization factor, no thermal factor.

Most intense lines, 2θ = 10–90°, in order of falling intensity:
d/Å	2θ (°)	I (rel.)
3.084	28.95	100
3.100	28.80	51
2.094	43.20	37
2.292	39.30	28
1.632	56.36	20
2.871	31.15	19
2.074	43.63	18
1.724	53.12	17

Cell and atoms:
Unit cell a=7.209 b=7.209 c=8.286 alpha=98.43 beta=98.43 gamma=119.37
Fractional coordinates of all 12 atoms:
Pm 0.080 0.433 0.804
Pm 0.209 0.209 0.190
Pm 0.433 0.080 0.804
Pm 0.567 0.920 0.196
Pm 0.791 0.791 0.810
Pm 0.920 0.567 0.196
Ga 0.500 0.500 0.000
Ni 0.169 0.831 0.000
Ni 0.831 0.169 0.000
I 0.000 0.000 0.500
I 0.340 0.660 0.500
I 0.660 0.340 0.500

---

3.
Ga2IO6: computed XRD peak list (Cu Kα), based on a PBE-relaxed structure.
Kinematic intensities with the Lorentz-polarization factor, no thermal factor.

Most intense lines, 2θ = 10–90°, in order of falling intensity:
d/Å	2θ (°)	I (rel.)
3.300	27.02	100
2.582	34.75	71
1.731	52.89	65
1.390	67.35	20
2.333	38.58	19
1.650	55.71	16
1.403	66.69	14
1.476	62.98	13

Cell and atoms:
Unit cell a=4.667 b=4.667 c=9.297 alpha=90.00 beta=90.00 gamma=90.00
Fractional coordinates of all 18 atoms:
Ga 0.000 0.000 0.166
Ga 0.000 0.000 0.834
Ga 0.500 0.500 0.334
Ga 0.500 0.500 0.666
I 0.000 0.000 0.500
I 0.500 0.500 0.000
O 0.192 0.192 0.000
O 0.194 0.194 0.333
O 0.194 0.194 0.667
O 0.306 0.694 0.167
O 0.306 0.694 0.833
O 0.308 0.692 0.500
O 0.692 0.308 0.500
O 0.694 0.306 0.167
O 0.694 0.306 0.833
O 0.806 0.806 0.333
O 0.806 0.806 0.667
O 0.808 0.808 0.000

---

4.
GaSnI2O: computed XRD peak list (Cu Kα), based on a PBE-relaxed structure.
Kinematic intensities with the Lorentz-polarization factor, no thermal factor.

Most intense lines, 2θ = 10–90°, in order of falling intensity:
d/Å	2θ (°)	I (rel.)
3.001	29.77	100
2.783	32.16	76
2.122	42.60	37
1.688	54.36	34
3.141	28.41	33
1.571	58.79	28
2.170	41.62	24
1.391	67.29	22

Cell and atoms:
Unit cell a=6.003 b=6.003 c=3.686 alpha=90.00 beta=90.00 gamma=90.00
Fractional coordinates of all 5 atoms:
Ga 0.000 0.000 0.000
Sn 0.500 0.500 0.500
I 0.000 0.500 0.000
I 0.500 0.000 0.000
O 0.000 0.000 0.500

---

5.
ZnGaI2O: computed XRD peak list (Cu Kα), based on a PBE-relaxed structure.
Kinematic intensities with the Lorentz-polarization factor, no thermal factor.

Most intense lines, 2θ = 10–90°, in order of falling intensity:
d/Å	2θ (°)	I (rel.)
2.890	30.94	100
2.728	32.84	70
2.043	44.33	36
2.269	39.73	33
3.663	24.30	30
1.547	59.78	29
1.635	56.25	29
3.094	28.86	23

Cell and atoms:
Unit cell a=5.780 b=5.780 c=3.663 alpha=90.00 beta=90.00 gamma=90.00
Fractional coordinates of all 5 atoms:
Zn 0.000 0.000 0.000
Ga 0.500 0.500 0.500
I 0.000 0.500 0.500
I 0.500 0.000 0.500
O 0.500 0.500 0.000

---

6.
GaReOsI2: computed XRD peak list (Cu Kα), based on a PBE-relaxed structure.
Kinematic intensities with the Lorentz-polarization factor, no thermal factor.

Most intense lines, 2θ = 10–90°, in order of falling intensity:
d/Å	2θ (°)	I (rel.)
2.904	30.79	100
2.610	34.36	60
1.747	52.37	36
1.558	59.33	31
2.352	38.27	22
1.846	49.38	22
1.452	64.14	20
1.443	64.58	12

Cell and atoms:
Unit cell a=5.220 b=5.220 c=4.703 alpha=90.00 beta=90.00 gamma=90.00
Fractional coordinates of all 5 atoms:
Ga 0.000 0.000 0.000
Re 0.500 0.500 0.500
Os 0.000 0.000 0.500
I 0.000 0.500 0.000
I 0.500 0.000 0.000

---

7.
GaPbI4: computed XRD peak list (Cu Kα), based on a PBE-relaxed structure.
Kinematic intensities with the Lorentz-polarization factor, no thermal factor.

Most intense lines, 2θ = 10–90°, in order of falling intensity:
d/Å	2θ (°)	I (rel.)
3.185	28.01	100
5.732	15.46	78
2.286	39.41	69
3.284	27.16	49
1.433	65.10	21
2.236	40.33	20
3.608	24.67	20
2.429	37.02	19

Cell and atoms:
Unit cell a=8.946 b=9.073 c=7.945 alpha=90.00 beta=124.25 gamma=90.00
Fractional coordinates of all 12 atoms:
Ga 0.000 0.000 0.000
Ga 0.500 0.500 0.000
Pb 0.000 0.693 0.500
Pb 0.500 0.193 0.500
I 0.223 0.943 0.445
I 0.248 0.189 0.004
I 0.252 0.689 0.996
I 0.277 0.443 0.555
I 0.723 0.443 0.445
I 0.748 0.689 0.004
I 0.752 0.189 0.996
I 0.777 0.943 0.555

---

8.
GaPbI4: computed XRD peak list (Cu Kα), based on a PBE-relaxed structure.
Kinematic intensities with the Lorentz-polarization factor, no thermal factor.

Most intense lines, 2θ = 10–90°, in order of falling intensity:
d/Å	2θ (°)	I (rel.)
3.386	26.32	100
7.511	11.78	58
3.505	25.41	47
2.098	43.11	43
2.245	40.16	35
2.664	33.64	32
2.683	33.40	22
2.736	32.73	21

Cell and atoms:
Unit cell a=16.856 b=4.350 c=7.866 alpha=90.00 beta=116.97 gamma=90.00
Fractional coordinates of all 12 atoms:
Ga 0.000 0.000 0.000
Ga 0.500 0.500 0.000
Pb 0.000 0.500 0.500
Pb 0.500 0.000 0.500
I 0.118 0.500 0.963
I 0.124 0.000 0.428
I 0.376 0.500 0.572
I 0.382 0.000 0.037
I 0.618 0.000 0.963
I 0.624 0.500 0.428
I 0.876 0.000 0.572
I 0.882 0.500 0.037

---

9.
Ga2Pb4I9: computed XRD peak list (Cu Kα), based on a PBE-relaxed structure.
Kinematic intensities with the Lorentz-polarization factor, no thermal factor.

Most intense lines, 2θ = 10–90°, in order of falling intensity:
d/Å	2θ (°)	I (rel.)
2.812	31.82	100
3.590	24.80	99
2.333	38.59	69
6.012	14.74	39
4.498	19.74	31
1.956	46.41	28
1.499	61.90	22
3.006	29.72	21

Cell and atoms:
Unit cell a=8.078 b=8.082 c=23.483 alpha=89.81 beta=89.91 gamma=60.02
Fractional coordinates of all 30 atoms:
Ga 0.001 0.000 0.338
Ga 0.001 0.999 0.162
Ga 0.999 0.000 0.662
Ga 0.999 0.001 0.838
Pb 0.332 0.334 0.324
Pb 0.333 0.333 0.008
Pb 0.333 0.333 0.508
Pb 0.334 0.333 0.824
Pb 0.666 0.667 0.176
Pb 0.667 0.667 0.492
Pb 0.667 0.667 0.992
Pb 0.668 0.666 0.676
I 0.001 0.319 0.750
I 0.018 0.333 0.418
I 0.019 0.648 0.918
I 0.320 0.001 0.250
I 0.320 0.681 0.750
I 0.332 0.019 0.918
I 0.334 0.648 0.418
I 0.352 0.666 0.082
I 0.352 0.981 0.582
I 0.648 0.019 0.418
I 0.648 0.334 0.918
I 0.666 0.352 0.582
I 0.668 0.981 0.082
I 0.680 0.319 0.250
I 0.680 0.999 0.750
I 0.981 0.352 0.082
I 0.982 0.667 0.582
I 0.999 0.681 0.250

---

10.
Ga4PdI2: computed XRD peak list (Cu Kα), based on a PBE-relaxed structure.
Kinematic intensities with the Lorentz-polarization factor, no thermal factor.

Most intense lines, 2θ = 10–90°, in order of falling intensity:
d/Å	2θ (°)	I (rel.)
2.469	36.39	100
3.492	25.51	77
1.855	49.12	74
3.710	23.99	65
2.810	31.84	64
2.689	33.32	63
2.189	41.23	36
1.483	62.64	35

Cell and atoms:
Unit cell a=4.938 b=4.938 c=16.863 alpha=90.00 beta=90.00 gamma=90.00
Fractional coordinates of all 14 atoms:
Ga 0.000 0.000 0.151
Ga 0.000 0.000 0.849
Ga 0.000 0.500 0.000
Ga 0.000 0.500 0.500
Ga 0.500 0.000 0.000
Ga 0.500 0.000 0.500
Ga 0.500 0.500 0.349
Ga 0.500 0.500 0.651
Pd 0.000 0.000 0.000
Pd 0.500 0.500 0.500
I 0.000 0.000 0.342
I 0.000 0.000 0.658
I 0.500 0.500 0.158
I 0.500 0.500 0.842

---

11.
Pm7GaI12: computed XRD peak list (Cu Kα), based on a PBE-relaxed structure.
Kinematic intensities with the Lorentz-polarization factor, no thermal factor.

Most intense lines, 2θ = 10–90°, in order of falling intensity:
d/Å	2θ (°)	I (rel.)
3.126	28.55	100
2.227	40.51	37
2.195	41.13	36
1.814	50.31	19
8.029	11.02	16
1.406	66.49	15
1.390	67.37	15
1.563	59.10	12

Cell and atoms:
Unit cell a=9.930 b=9.930 c=9.930 alpha=107.90 beta=107.90 gamma=107.90
Fractional coordinates of all 20 atoms:
Pm 0.000 0.000 0.000
Pm 0.181 0.393 0.464
Pm 0.393 0.464 0.181
Pm 0.464 0.181 0.393
Pm 0.536 0.819 0.607
Pm 0.607 0.536 0.819
Pm 0.819 0.607 0.536
Ga 0.500 0.500 0.500
I 0.028 0.345 0.108
I 0.108 0.028 0.345
I 0.188 0.731 0.578
I 0.269 0.422 0.812
I 0.345 0.108 0.028
I 0.422 0.812 0.269
I 0.578 0.188 0.731
I 0.655 0.892 0.972
I 0.731 0.578 0.188
I 0.812 0.269 0.422
I 0.892 0.972 0.655
I 0.972 0.655 0.892

---

12.
PmGa3I6: computed XRD peak list (Cu Kα), based on a PBE-relaxed structure.
Kinematic intensities with the Lorentz-polarization factor, no thermal factor.

Most intense lines, 2θ = 10–90°, in order of falling intensity:
d/Å	2θ (°)	I (rel.)
3.640	24.46	100
3.218	27.72	97
3.546	25.11	93
2.728	32.83	91
3.463	25.72	76
2.936	30.44	68
3.611	24.65	60
3.569	24.95	59

Cell and atoms:
Unit cell a=7.935 b=8.716 c=14.284 alpha=90.00 beta=123.30 gamma=90.00
Fractional coordinates of all 20 atoms:
Pm 0.000 0.000 0.000
Pm 0.000 0.500 0.500
Ga 0.332 0.143 0.757
Ga 0.332 0.357 0.257
Ga 0.500 0.000 0.500
Ga 0.500 0.500 0.000
Ga 0.668 0.643 0.743
Ga 0.668 0.857 0.243
I 0.096 0.050 0.241
I 0.096 0.450 0.741
I 0.243 0.694 0.075
I 0.243 0.806 0.575
I 0.391 0.180 0.074
I 0.391 0.320 0.574
I 0.609 0.680 0.426
I 0.609 0.820 0.926
I 0.757 0.194 0.425
I 0.757 0.306 0.925
I 0.904 0.550 0.259
I 0.904 0.950 0.759

---

13.
Pr4GaI3: computed XRD peak list (Cu Kα), based on a PBE-relaxed structure.
Kinematic intensities with the Lorentz-polarization factor, no thermal factor.

Most intense lines, 2θ = 10–90°, in order of falling intensity:
d/Å	2θ (°)	I (rel.)
3.222	27.69	100
2.284	39.44	67
3.240	27.53	48
2.244	40.18	20
1.845	49.40	19
2.313	38.93	16
1.883	48.34	15
1.442	64.62	12

Cell and atoms:
Unit cell a=9.254 b=12.960 c=4.488 alpha=90.00 beta=90.00 gamma=90.00
Fractional coordinates of all 16 atoms:
Pr 0.000 0.223 0.000
Pr 0.000 0.777 0.000
Pr 0.208 0.000 0.500
Pr 0.292 0.500 0.500
Pr 0.500 0.277 0.000
Pr 0.500 0.723 0.000
Pr 0.708 0.500 0.500
Pr 0.792 0.000 0.500
Ga 0.000 0.000 0.000
Ga 0.500 0.500 0.000
I 0.000 0.500 0.000
I 0.250 0.250 0.500
I 0.250 0.750 0.500
I 0.500 0.000 0.000
I 0.750 0.250 0.500
I 0.750 0.750 0.500